(1)
This entry pairs a crystal structure of LiAlO2 with its computed PXRD pattern. Radiation: Cu Kα, 1.54184 Å. Structure: a structure optimized by DFT (PBE).
Intensities are scaled so that the largest is 100.

Atomic structure:
abc: 5.2301 5.2301 6.3267
angles: 90.00 90.00 90.00
Space group P4_12_12 (No. 92)
Asymmetric unit:
Li: 0.1861 0.1861 0.0000 (multiplicity 4)
Al: 0.1767 0.1767 0.5000 (multiplicity 4)
O: 0.1619 0.7909 0.9774 (multiplicity 8)

Largest 6 diffraction maxima, by intensity, 5° ≤ 2θ ≤ 70°:
- 2θ 22.05, I = 100.0
- 2θ 34.29, I = 78.3
- 2θ 33.10, I = 69.8
- 2θ 60.65, I = 46.2
- 2θ 27.94, I = 23.3
- 2θ 48.40, I = 18.7

***

(2)
This entry pairs a crystal structure of NpSc5As6 with its computed PXRD pattern. Radiation: Cu Kα, 1.54184 Å. Structure: a structure optimized by DFT (PBE).
Intensities are scaled so that the largest is 100.

Atomic structure:
abc: 6.7853 11.7591 6.7870
angles: 90.00 109.51 90.00
Space group C2/m (No. 12)
Asymmetric unit:
Np: 0.0000 0.0000 0.0000 (multiplicity 2)
Sc: 0.0000 0.1651 0.5000 (multiplicity 4)
Sc: 0.0000 0.3330 0.0000 (multiplicity 4)
Sc: 0.0000 0.5000 0.5000 (multiplicity 2)
As: 0.2455 0.3305 0.7450 (multiplicity 8)
As: 0.2448 0.5000 0.2521 (multiplicity 4)

Largest 6 diffraction maxima, by intensity, 5° ≤ 2θ ≤ 70°:
- 2θ 32.31, I = 100.0
- 2θ 46.34, I = 71.5
- 2θ 57.62, I = 24.5
- 2θ 15.77, I = 12.9
- 2θ 67.63, I = 11.2
- 2θ 17.69, I = 10.5

***

(3)
This entry pairs a crystal structure of PuZr5Tc4 with its computed PXRD pattern. Radiation: Cu Kα, 1.54184 Å. Structure: a structure optimized by DFT (PBE).
Intensities are scaled so that the largest is 100.

Atomic structure:
abc: 3.2969 3.2969 17.7323
angles: 90.00 90.00 90.00
Space group P4/mmm (No. 123)
Asymmetric unit:
Pu: 0.0000 0.0000 0.0000 (multiplicity 1)
Zr: 0.5000 0.5000 0.1318 (multiplicity 2)
Zr: 0.5000 0.5000 0.3146 (multiplicity 2)
Zr: 0.5000 0.5000 0.5000 (multiplicity 1)
Tc: 0.0000 0.0000 0.2183 (multiplicity 2)
Tc: 0.0000 0.0000 0.4070 (multiplicity 2)

Largest 6 diffraction maxima, by intensity, 5° ≤ 2θ ≤ 70°:
- 2θ 37.24, I = 100.0
- 2θ 38.62, I = 59.4
- 2θ 68.98, I = 31.9
- 2θ 55.76, I = 20.1
- 2θ 33.88, I = 15.7
- 2θ 31.06, I = 8.7